For PaMnCr2N4, DFT lattice parameters and positions (GGA-PBE) gives the calculated powder diffractogram in this record (Cu Kα X-rays).

Principal peaks in the range 2θ from 10° to 80°, sorted by position:
Position (°2θ)	I_rel	hkl
22.0	66	1 0 1
23.8	33	1 1 0
33.9	52	2 0 0
37.4	100	1 1 2
40.8	33	2 1 1
44.8	17	2 0 2
46.6	12	1 0 3
48.7	27	2 2 0
63.0	44	3 1 2
69.5	15	2 0 4

Crystal structure
Unit cell a=5.285 b=5.285 c=6.294 alpha=90.00 beta=90.00 gamma=90.00
Space group I-42m (No. 121)
Asymmetric unit:
1 Pa 0.000 0.000 0.000 (multiplicity 2)
2 Mn 0.000 0.000 0.500 (multiplicity 2)
3 Cr 0.000 0.500 0.250 (multiplicity 4)
4 N 0.198 0.198 0.303 (multiplicity 8)